Diffraction record for Np2Ga5Ir3. The X-ray diffraction stick pattern is theoretical, not measured: it uses the GGA-PBE geometry in Alexandria and Cu Kα, 1.54184 Å.

Structure:
Cell: 4.283 24.778 6.751 Å, 90.00 90.00 90.00°
Space group Cmc2_1 (No. 36)
Unique sites:
Np1 0.000 0.020 0.000 [4 per cell]
Np2 0.000 0.326 0.932 [4 per cell]
Ga1 0.000 0.103 0.639 [4 per cell]
Ga2 0.000 0.206 0.120 [4 per cell]
Ga3 0.000 0.208 0.722 [4 per cell]
Ga4 0.000 0.374 0.480 [4 per cell]
Ga5 0.000 0.446 0.831 [4 per cell]
Ir1 0.000 0.107 0.245 [4 per cell]
Ir2 0.000 0.271 0.419 [4 per cell]
Ir3 0.000 0.452 0.223 [4 per cell]

Most intense lines, 15 to 90 degrees two-theta, by angle:
hkl 1 3 2, 2.527 Å, I 100
hkl 0 10 1, 2.326 Å, I 18
hkl 1 9 0, 2.316 Å, I 16
hkl 2 0 0, 2.142 Å, I 28
hkl 1 3 3, 1.937 Å, I 13
hkl 3 3 2, 1.299 Å, I 13